(1)
For RbBa2Ni2F9, a crystal structure in Alexandria, relaxed with GGA+U gives the computed XRD peak list in this record (Cu Kα, 1.54184 Å).
Kinematic intensities with the Lorentz-polarization factor, no thermal factor.

Structural model:
```
RbBa2Ni2F9
1.0
2.935 1.694 7.085
-2.935 1.694 7.085
0.000 -3.389 7.085
Rb Ba Ni F
1 2 2 9
Direct
0.000 0.000 0.000
0.214 0.214 0.214
0.420 0.420 0.420
0.607 0.607 0.607
0.824 0.824 0.824
0.221 0.707 0.707
0.441 0.945 0.945
0.481 0.481 0.993
0.481 0.993 0.481
0.707 0.221 0.707
0.707 0.707 0.221
0.945 0.441 0.945
0.945 0.945 0.441
0.993 0.481 0.481
```

Top 10 peaks for 5° ≤ 2θ ≤ 70°, low angle first:
two_theta, Rel. int.
27.35, 100
30.46, 76
39.29, 18
41.39, 65
46.30, 23
52.25, 34
54.13, 15
56.43, 14
63.38, 20
65.49, 16

***

(2)
For Rb2BaNiF, a crystal structure in Alexandria, relaxed with GGA+U gives the computed XRD peak list in this record (Cu Kα, 1.54184 Å).
Kinematic intensities with the Lorentz-polarization factor, no thermal factor.

Structural model:
```
Rb2BaNiF
1.0
7.480 0.000 0.000
0.000 7.480 0.000
0.000 0.000 4.933
Rb Ba Ni F
2 1 1 1
Direct
0.000 0.500 0.000
0.500 0.000 0.000
0.000 0.000 0.000
0.000 0.000 0.500
0.500 0.500 0.500
```

Top 10 peaks for 5° ≤ 2θ ≤ 70°, low angle first:
two_theta, Rel. int.
11.83, 100
17.98, 30
23.79, 100
24.68, 20
26.65, 30
29.98, 35
33.90, 40
43.97, 37
50.60, 24
67.68, 20

***

(3)
For BaTl2NiF6, a crystal structure in Alexandria, relaxed with GGA+U gives the computed XRD peak list in this record (Cu Kα, 1.54184 Å).
Kinematic intensities with the Lorentz-polarization factor, no thermal factor.

Structural model:
```
BaTl2NiF6
1.0
6.090 0.000 0.000
0.000 9.054 0.000
0.000 0.000 7.011
Ba Tl Ni F
2 4 2 12
Direct
0.250 0.250 0.193
0.750 0.750 0.807
0.250 0.038 0.684
0.250 0.462 0.684
0.750 0.538 0.316
0.750 0.962 0.316
0.250 0.750 0.292
0.750 0.250 0.708
0.005 0.750 0.497
0.008 0.750 0.095
0.250 0.523 0.303
0.250 0.977 0.303
0.492 0.750 0.095
0.495 0.750 0.497
0.505 0.250 0.503
0.508 0.250 0.905
0.750 0.023 0.697
0.750 0.477 0.697
0.992 0.250 0.905
0.995 0.250 0.503
```

Top 10 peaks for 5° ≤ 2θ ≤ 70°, low angle first:
two_theta, Rel. int.
12.63, 16
25.41, 22
27.65, 100
29.36, 49
32.30, 17
35.56, 22
39.19, 23
43.59, 15
44.18, 15
50.99, 19

***

(4)
For Ba2Zn3NiF12, a crystal structure in Alexandria, relaxed with GGA+U gives the computed XRD peak list in this record (Cu Kα, 1.54184 Å).
Kinematic intensities with the Lorentz-polarization factor, no thermal factor.

Structural model:
```
Ba2Zn3NiF12
1.0
3.620 2.090 5.888
-3.620 2.090 5.888
0.000 -4.179 5.888
Ba Zn Ni F
2 3 1 12
Direct
0.128 0.128 0.128
0.872 0.872 0.872
0.000 0.500 0.500
0.500 0.000 0.500
0.500 0.500 0.000
0.500 0.500 0.500
0.153 0.153 0.590
0.153 0.590 0.153
0.165 0.587 0.587
0.410 0.847 0.847
0.413 0.413 0.835
0.413 0.835 0.413
0.587 0.165 0.587
0.587 0.587 0.165
0.590 0.153 0.153
0.835 0.413 0.413
0.847 0.410 0.847
0.847 0.847 0.410
```

Top 10 peaks for 5° ≤ 2θ ≤ 70°, low angle first:
two_theta, Rel. int.
24.63, 25
28.96, 100
30.26, 15
43.32, 7
46.12, 28
50.43, 23
50.57, 23
56.96, 8
59.21, 9
59.99, 7

***

(5)
For BaZnNi2F8, a crystal structure in Alexandria, relaxed with GGA+U gives the computed XRD peak list in this record (Cu Kα, 1.54184 Å).
Kinematic intensities with the Lorentz-polarization factor, no thermal factor.

Structural model:
```
BaZnNi2F8
1.0
4.625 0.000 0.000
-0.400 4.981 0.000
-0.079 -0.674 7.766
Ba Zn Ni F
1 1 2 8
Direct
0.000 0.000 0.000
0.000 0.000 0.500
0.488 0.532 0.691
0.512 0.468 0.309
0.154 0.221 0.314
0.175 0.246 0.713
0.337 0.718 0.493
0.430 0.720 0.915
0.570 0.280 0.085
0.663 0.282 0.507
0.825 0.754 0.287
0.846 0.779 0.686
```

Top 10 peaks for 5° ≤ 2θ ≤ 70°, low angle first:
two_theta, Rel. int.
20.39, 27
25.28, 100
27.46, 67
27.92, 49
29.83, 21
30.40, 63
39.09, 23
47.24, 16
47.94, 22
51.91, 20

***

(6)
For BaZnNiF7, a crystal structure in Alexandria, relaxed with GGA+U gives the computed XRD peak list in this record (Cu Kα, 1.54184 Å).
Kinematic intensities with the Lorentz-polarization factor, no thermal factor.

Structural model:
```
BaZnNiF7
1.0
5.645 0.000 0.000
0.000 9.993 0.000
-0.548 0.000 9.614
Ba Zn Ni F
4 4 4 28
Direct
0.238 0.182 0.000
0.238 0.318 0.500
0.762 0.682 0.500
0.762 0.818 0.000
0.199 0.599 0.812
0.199 0.901 0.312
0.801 0.099 0.688
0.801 0.401 0.188
0.304 0.613 0.190
0.304 0.887 0.690
0.696 0.113 0.310
0.696 0.387 0.810
0.027 0.707 0.247
0.027 0.793 0.747
0.117 0.542 0.623
0.117 0.958 0.123
0.138 0.047 0.632
0.138 0.453 0.132
0.238 0.689 0.005
0.238 0.811 0.505
0.386 0.543 0.365
0.386 0.957 0.865
0.396 0.060 0.377
0.396 0.440 0.877
0.476 0.723 0.749
0.476 0.777 0.249
0.524 0.223 0.751
0.524 0.277 0.251
0.604 0.560 0.123
0.604 0.940 0.623
0.614 0.043 0.135
0.614 0.457 0.635
0.762 0.189 0.495
0.762 0.311 0.995
0.862 0.547 0.868
0.862 0.953 0.368
0.883 0.042 0.877
0.883 0.458 0.377
0.973 0.207 0.253
0.973 0.293 0.753
```

Top 10 peaks for 5° ≤ 2θ ≤ 70°, low angle first:
two_theta, Rel. int.
25.25, 100
26.59, 54
29.27, 26
31.19, 20
31.75, 23
40.42, 23
40.82, 30
41.70, 18
52.39, 20
54.48, 18